Starting from a crystal structure in Alexandria, relaxed with PBE, the X-ray powder pattern of TlSnI6 was computed for Cu Kα.
Kinematic intensities with the Lorentz-polarization factor, no thermal factor.

Atomic structure:
a = 7.554 Å, b = 7.562 Å, c = 8.296 Å
α = 90.01°, β = 117.05°, γ = 119.95°
Positions (direct):
Tl (0.000, 0.000, 0.000)
Sn (0.000, 0.500, 0.500)
I (0.174, 0.449, 0.265)
I (0.184, 0.275, 0.734)
I (0.458, 0.907, 0.734)
I (0.542, 0.093, 0.266)
I (0.816, 0.725, 0.266)
I (0.826, 0.551, 0.735)

Principal peaks in the range 10° ≤ 2θ ≤ 80°, low angle first:
| index | 2θ (°) | d/Å | I (rel.) |
| --- | --- | --- | --- |
| 0 1 -1 | 15.9 | 5.569 | 36 |
| 1 0 -2 | 21.6 | 4.117 | 26 |
| -1 2 1 | 26.8 | 3.333 | 100 |
| 1 1 1 | 34.8 | 2.580 | 59 |
| -3 3 1 | 41.4 | 2.182 | 38 |
| -1 2 3 | 45.4 | 1.998 | 21 |